This entry pairs a crystal structure of MnC2N2 with its theoretical powder diffraction line list. Radiation: Cu Kα (λ = 1.5418 Å). Structure: a crystal structure in the Materials Project, relaxed with GGA-PBE.

Crystal structure
```
10
Lattice="6.1178 0.0000 0.0000 0.0000 6.1178 0.0000 0.0000 0.0000 6.1178" Properties=species:S:1:pos:R:3 pbc="T T T"
Mn 0.0000 0.0000 0.0000
Mn 3.0589 3.0589 3.0589
C 1.2007 1.2007 1.2007
C 1.2007 4.9171 4.9171
C 4.9171 1.2007 4.9171
C 4.9171 4.9171 1.2007
N 1.8772 1.8772 1.8772
N 1.8772 4.2406 4.2406
N 4.2406 1.8772 4.2406
N 4.2406 4.2406 1.8772
```

The 8 most intense peaks (5° ≤ 2θ ≤ 70°), sorted by position:
h k l	d/Å	I/Imax
1 1 0	4.326	100
1 1 1	3.532	20
2 1 1	2.498	31
2 2 0	2.163	25
3 1 0	1.935	10
3 2 1	1.635	24
3 3 0	1.442	12
4 2 0	1.368	4